Diffraction record for LiSnRhAu. The powder X-ray diffraction pattern is computed, not measured: it uses a GGA-PBE-relaxed structure and Cu Kα.
No peak broadening, texture or thermal motion is included.

Structure:
```
data_LiSnRhAu
_cell_length_a 4.170
_cell_length_b 4.170
_cell_length_c 7.479
_cell_angle_alpha 90.00
_cell_angle_beta 90.00
_cell_angle_gamma 90.00
_symmetry_space_group_name_H-M 'I -4 m 2'
_symmetry_Int_Tables_number 119
_symmetry_space_group_name_Hall 'I -4 -2'
loop_
_atom_site_label
_atom_site_fract_x
_atom_site_fract_y
_atom_site_fract_z
Li1 0.000 0.000 0.000
Sn1 0.000 0.000 0.500
Rh1 0.000 0.500 0.750
Au1 0.000 0.500 0.250
```

The 12 most intense peaks (2θ from 15° to 90°), in order of rising 2θ:
(hkl), 2θ/deg, I_rel
0 0 2, 23.79, 151
1 0 1, 24.44, 384
1 1 0, 30.31, 165
1 1 2, 38.89, 1000
2 0 0, 43.40, 368
0 0 4, 48.70, 132
2 1 1, 50.43, 117
2 2 0, 63.05, 123
2 0 4, 67.26, 203
3 1 2, 76.61, 284
2 2 4, 83.50, 116
1 1 6, 84.36, 113

***

Diffraction record for U6Cu3Ni3Sb8. The powder X-ray diffraction pattern is computed, not measured: it uses a GGA-PBE-relaxed structure and Cu Kα.
No peak broadening, texture or thermal motion is included.

Structure:
```
data_U6Cu3Ni3Sb8
_cell_length_a 13.434
_cell_length_b 9.504
_cell_length_c 9.456
_cell_angle_alpha 90.00
_cell_angle_beta 134.64
_cell_angle_gamma 90.00
_symmetry_space_group_name_H-M 'C 1 2 1'
_symmetry_Int_Tables_number 5
_symmetry_space_group_name_Hall 'C 2y'
loop_
_atom_site_label
_atom_site_fract_x
_atom_site_fract_y
_atom_site_fract_z
U1 0.000 0.000 0.000
U2 0.000 0.236 0.500
U3 0.121 0.620 0.864
U4 0.244 0.867 0.617
Cu1 0.000 0.492 0.000
Cu2 0.249 0.867 0.124
Ni1 0.000 0.742 0.500
Ni2 0.125 0.117 0.374
Sb1 0.081 0.284 0.913
Sb2 0.082 0.952 0.748
Sb3 0.167 0.535 0.583
Sb4 0.168 0.699 0.252
```

The 12 most intense peaks (2θ from 15° to 90°), in order of rising 2θ:
(hkl), 2θ/deg, I_rel
2 2 -1, 22.89, 197
2 0 1, 29.58, 435
1 3 -1, 29.73, 413
4 0 -3, 29.86, 396
1 1 2, 35.25, 973
1 3 -2, 35.40, 1000
6 0 -2, 42.36, 279
2 4 -2, 42.54, 284
2 0 -4, 42.69, 300
1 3 -3, 44.77, 161
0 6 1, 60.03, 145
8 4 -4, 68.37, 199